Theoretical powder XRD pattern of Pu2FeRu3 for Cu Kα, from a DFT-relaxed cell (PBE, Alexandria).

Atomic structure:
Lattice parameters (Å, degrees): 5.042 5.042 5.042 66.08 66.08 66.08
Sites, in units of the cell vectors:
Pu  0.125  0.125  0.125
Pu  0.875  0.875  0.875
Fe  0.500  0.500  0.500
Ru  0.000  0.500  0.500
Ru  0.500  0.000  0.500
Ru  0.500  0.500  0.000

Main lines, most intense first (5° ≤ 2θ ≤ 70°):
40.1 deg, d 2.250, rel. 100; 38.6 deg, d 2.333, rel. 77; 35.9 deg, d 2.500, rel. 73; 32.6 deg, d 2.749, rel. 64; 42.9 deg, d 2.108, rel. 41; 60.3 deg, d 1.535, rel. 34; 20.1 deg, d 4.413, rel. 30; 68.2 deg, d 1.375, rel. 30; 63.2 deg, d 1.471, rel. 26; 40.9 deg, d 2.207, rel. 26; 65.3 deg, d 1.429, rel. 24; 68.4 deg, d 1.372, rel. 15

---

Theoretical powder XRD pattern of Zr5PaCo3 for Cu Kα, from a DFT-relaxed cell (PBE, Alexandria).

Atomic structure:
Lattice parameters (Å, degrees): 6.581 7.061 8.174 74.96 79.87 83.03
Sites, in units of the cell vectors:
Zr  0.097  0.307  0.070
Zr  0.161  0.921  0.354
Zr  0.177  0.366  0.422
Zr  0.320  0.613  0.672
Zr  0.345  0.655  0.077
Zr  0.655  0.345  0.923
Zr  0.680  0.387  0.328
Zr  0.823  0.634  0.578
Zr  0.839  0.079  0.646
Zr  0.903  0.693  0.930
Pa  0.322  0.068  0.776
Pa  0.678  0.932  0.224
Co  0.000  0.000  0.000
Co  0.046  0.332  0.751
Co  0.424  0.204  0.205
Co  0.500  0.000  0.500
Co  0.576  0.796  0.795
Co  0.954  0.668  0.249

Main lines, most intense first (5° ≤ 2θ ≤ 70°):
31.2 deg, d 2.870, rel. 100; 40.0 deg, d 2.253, rel. 96; 35.2 deg, d 2.548, rel. 88; 39.2 deg, d 2.296, rel. 84; 29.0 deg, d 3.077, rel. 77; 31.0 deg, d 2.884, rel. 64; 43.9 deg, d 2.062, rel. 56; 24.8 deg, d 3.593, rel. 53; 31.5 deg, d 2.836, rel. 53; 45.3 deg, d 2.000, rel. 50; 38.7 deg, d 2.325, rel. 49; 36.8 deg, d 2.440, rel. 49

---

Theoretical powder XRD pattern of Nd2Br2O for Cu Kα, from a DFT-relaxed cell (PBE, Alexandria).

Atomic structure:
Lattice parameters (Å, degrees): 4.304 4.304 14.031 90.00 90.00 90.00
Sites, in units of the cell vectors:
Nd  0.000  0.000  0.153
Nd  0.000  0.000  0.847
Br  0.000  0.000  0.347
Br  0.000  0.000  0.653
O  0.000  0.000  0.000

Main lines, most intense first (5° ≤ 2θ ≤ 70°):
20.6 deg, d 4.304, rel. 100; 29.3 deg, d 3.043, rel. 41; 32.9 deg, d 2.719, rel. 29; 44.1 deg, d 2.055, rel. 23; 6.3 deg, d 14.031, rel. 23; 47.2 deg, d 1.925, rel. 22; 49.1 deg, d 1.855, rel. 19; 39.2 deg, d 2.299, rel. 18; 42.0 deg, d 2.152, rel. 15; 62.5 deg, d 1.486, rel. 15; 25.4 deg, d 3.508, rel. 14; 54.4 deg, d 1.687, rel. 14

---

Theoretical powder XRD pattern of SrSmZnN2 for Cu Kα, from a DFT-relaxed cell (PBE, Alexandria).

Atomic structure:
Lattice parameters (Å, degrees): 5.447 5.585 6.818 90.00 90.00 90.00
Sites, in units of the cell vectors:
Sr  0.000  0.000  0.250
Sr  0.000  0.000  0.750
Sm  0.500  0.500  0.250
Sm  0.500  0.500  0.750
Zn  0.000  0.500  0.000
Zn  0.000  0.500  0.500
N  0.267  0.288  0.000
N  0.267  0.712  0.500
N  0.733  0.288  0.500
N  0.733  0.712  0.000

Main lines, most intense first (5° ≤ 2θ ≤ 70°):
35.0 deg, d 2.566, rel. 100; 22.8 deg, d 3.899, rel. 44; 15.9 deg, d 5.585, rel. 36; 32.1 deg, d 2.792, rel. 27; 46.6 deg, d 1.950, rel. 25; 32.9 deg, d 2.723, rel. 25; 59.0 deg, d 1.565, rel. 22; 60.1 deg, d 1.540, rel. 21; 30.9 deg, d 2.890, rel. 12; 41.8 deg, d 2.160, rel. 11; 42.5 deg, d 2.128, rel. 11; 26.1 deg, d 3.409, rel. 10

---

Theoretical powder XRD pattern of CeB11 for Cu Kα, from a DFT-relaxed cell (PBE, Alexandria).

Atomic structure:
Lattice parameters (Å, degrees): 6.557 6.557 6.557 115.23 115.23 98.47
Sites, in units of the cell vectors:
Ce  0.375  0.625  0.750
Ce  0.625  0.375  0.250
B  0.000  0.000  0.000
B  0.000  0.000  0.500
B  0.000  0.500  0.000
B  0.113  0.536  0.301
B  0.113  0.813  0.578
B  0.125  0.875  0.250
B  0.187  0.265  0.301
B  0.187  0.887  0.922
B  0.265  0.187  0.801
B  0.265  0.464  0.078
B  0.464  0.265  0.578
B  0.464  0.887  0.199
B  0.500  0.000  0.500
B  0.536  0.113  0.801
B  0.536  0.735  0.422
B  0.735  0.536  0.922
B  0.735  0.813  0.199
B  0.813  0.113  0.078
B  0.813  0.735  0.699
B  0.875  0.125  0.750
B  0.887  0.187  0.422
B  0.887  0.464  0.699

Main lines, most intense first (5° ≤ 2θ ≤ 70°):
16.3 deg, d 5.430, rel. 100; 27.5 deg, d 3.243, rel. 83; 30.3 deg, d 2.949, rel. 65; 46.0 deg, d 1.972, rel. 63; 33.9 deg, d 2.644, rel. 41; 25.4 deg, d 3.512, rel. 38; 47.9 deg, d 1.899, rel. 22; 36.2 deg, d 2.483, rel. 22; 49.9 deg, d 1.828, rel. 17; 39.9 deg, d 2.258, rel. 16; 56.8 deg, d 1.621, rel. 16; 58.8 deg, d 1.571, rel. 15